Starting from DFT lattice parameters and positions (GGA-PBE), the powder XRD pattern of SrBiOs2O8 was computed for Cu Kα (weighted mean of Kα1 and Kα2).
No peak broadening, texture or thermal motion is included.

Crystal structure
abc: 5.4659 5.4659 22.0508
angles: 90.00 90.00 120.00
Space group R-3 (No. 148, hexagonal axes)
Symmetry-distinct sites (fractional):
Sr: 0.0000 0.0000 0.0000 [3 per cell]
Bi: 0.0000 0.0000 0.5000 [3 per cell]
Os: 0.0000 0.0000 0.2535 [6 per cell]
O: 0.0000 0.0000 0.3352 [6 per cell]
O: 0.0037 0.6417 0.5626 [18 per cell]

Principal peaks in the range 5° ≤ 2θ ≤ 70°, in order of falling intensity:
2θ = 24.8°, I 100, hkl 1 0 4; 2θ = 32.8°, I 50, hkl 1 1 0; 2θ = 37.8°, I 35, hkl 0 1 8; 2θ = 41.5°, I 27, hkl 0 2 4; 2θ = 53.9°, I 25, hkl 3 -1 4; 2θ = 60.7°, I 19, hkl 2 -1 12; 2θ = 61.8°, I 17, hkl 1 2 8; 2θ = 50.8°, I 14, hkl 2 0 8; 2θ = 58.5°, I 14, hkl 3 0 0; 2θ = 19.2°, I 8, hkl 1 0 1

***

Starting from DFT lattice parameters and positions (GGA-PBE), the powder XRD pattern of Tb2BiOsO8 was computed for Cu Kα (weighted mean of Kα1 and Kα2).
No peak broadening, texture or thermal motion is included.

Crystal structure
abc: 7.134 7.186 6.868
angles: 90.00 90.00 90.00
Space group Cmmm (No. 65)
Symmetry-distinct sites (fractional):
Tb: 0.000 0.000 0.250 [4 per cell]
Bi: 0.000 0.500 0.000 [2 per cell]
Os: 0.000 0.500 0.500 [2 per cell]
O: 0.000 0.318 0.291 [8 per cell]
O: 0.188 0.000 0.000 [4 per cell]
O: 0.235 0.000 0.500 [4 per cell]

Principal peaks in the range 5° ≤ 2θ ≤ 70°, in order of falling intensity:
2θ = 31.5°, I 100, hkl 1 1 2; 2θ = 24.8°, I 55, hkl 0 2 0; 2θ = 25.0°, I 52, hkl 2 0 0; 2θ = 48.0°, I 39, hkl 1 3 2; 2θ = 48.2°, I 36, hkl 3 1 2; 2θ = 35.5°, I 30, hkl 2 2 0; 2θ = 61.2°, I 21, hkl 3 3 2; 2θ = 59.7°, I 19, hkl 0 2 4; 2θ = 65.7°, I 12, hkl 2 2 4; 2θ = 57.7°, I 10, hkl 4 2 0

***

Starting from DFT lattice parameters and positions (GGA-PBE), the powder XRD pattern of Bi12PO20 was computed for Cu Kα (weighted mean of Kα1 and Kα2).
No peak broadening, texture or thermal motion is included.

Crystal structure
abc: 10.330 10.330 10.330
angles: 90.00 90.00 90.00
Space group I23 (No. 197)
Symmetry-distinct sites (fractional):
Bi: 0.023 0.176 0.324 [24 per cell]
P: 0.000 0.000 0.000 [2 per cell]
O: 0.007 0.369 0.749 [24 per cell]
O: 0.088 0.088 0.912 [8 per cell]
O: 0.202 0.202 0.202 [8 per cell]

Principal peaks in the range 5° ≤ 2θ ≤ 70°, in order of falling intensity:
2θ = 27.3°, I 100, hkl 3 1 0; 2θ = 32.4°, I 62, hkl 3 2 1; 2θ = 51.6°, I 28, hkl 5 0 3; 2θ = 54.8°, I 23, hkl 5 3 2; 2θ = 60.8°, I 22, hkl 6 3 1; 2θ = 30.0°, I 20, hkl 2 2 2; 2θ = 24.4°, I 20, hkl 2 2 0; 2θ = 44.7°, I 19, hkl 4 1 3; 2θ = 53.2°, I 18, hkl 6 0 0; 2θ = 41.0°, I 18, hkl 3 3 2

***

Starting from DFT lattice parameters and positions (GGA-PBE), the powder XRD pattern of BiP2O7 was computed for Cu Kα (weighted mean of Kα1 and Kα2).
No peak broadening, texture or thermal motion is included.

Crystal structure
abc: 7.601 8.896 10.167
angles: 90.00 110.39 90.00
Space group P2_1/c (No. 14)
Symmetry-distinct sites (fractional):
Bi: 0.238 0.005 0.247 [4 per cell]
P: 0.181 0.702 0.438 [4 per cell]
P: 0.422 0.243 0.544 [4 per cell]
O: 0.059 0.589 0.332 [4 per cell]
O: 0.141 0.631 0.897 [4 per cell]
O: 0.181 0.687 0.588 [4 per cell]
O: 0.294 0.144 0.080 [4 per cell]
O: 0.331 0.208 0.386 [4 per cell]
O: 0.388 0.662 0.437 [4 per cell]
O: 0.473 0.104 0.638 [4 per cell]

Principal peaks in the range 5° ≤ 2θ ≤ 70°, in order of falling intensity:
2θ = 16.1°, I 100, hkl 1 1 -1; 2θ = 20.6°, I 47, hkl 1 1 1; 2θ = 27.4°, I 44, hkl 0 2 2; 2θ = 28.3°, I 26, hkl 1 1 -3; 2θ = 25.0°, I 17, hkl 2 0 0; 2θ = 32.6°, I 16, hkl 2 2 -2; 2θ = 40.5°, I 14, hkl 1 3 -3; 2θ = 32.8°, I 13, hkl 1 3 -1; 2θ = 32.2°, I 12, hkl 2 2 0; 2θ = 35.3°, I 12, hkl 1 3 1

***

Repeat the second record exactly.
Starting from DFT lattice parameters and positions (GGA-PBE), the powder XRD pattern of Tb2BiOsO8 was computed for Cu Kα (weighted mean of Kα1 and Kα2).
No peak broadening, texture or thermal motion is included.

Crystal structure
abc: 7.134 7.186 6.868
angles: 90.00 90.00 90.00
Space group Cmmm (No. 65)
Symmetry-distinct sites (fractional):
Tb: 0.000 0.000 0.250 [4 per cell]
Bi: 0.000 0.500 0.000 [2 per cell]
Os: 0.000 0.500 0.500 [2 per cell]
O: 0.000 0.318 0.291 [8 per cell]
O: 0.188 0.000 0.000 [4 per cell]
O: 0.235 0.000 0.500 [4 per cell]

Principal peaks in the range 5° ≤ 2θ ≤ 70°, in order of falling intensity:
2θ = 31.5°, I 100, hkl 1 1 2; 2θ = 24.8°, I 55, hkl 0 2 0; 2θ = 25.0°, I 52, hkl 2 0 0; 2θ = 48.0°, I 39, hkl 1 3 2; 2θ = 48.2°, I 36, hkl 3 1 2; 2θ = 35.5°, I 30, hkl 2 2 0; 2θ = 61.2°, I 21, hkl 3 3 2; 2θ = 59.7°, I 19, hkl 0 2 4; 2θ = 65.7°, I 12, hkl 2 2 4; 2θ = 57.7°, I 10, hkl 4 2 0